[1]
# Th3Co6Si2
Computed PXRD pattern, Cu Kα, 1.54184 Å. Input: a DFT-relaxed cell (PBE, Alexandria).

Largest 6 diffraction maxima, in order of rising 2θ, 2θ from 15° to 90°:
Position (°2θ), I (rel.), index
24.60, 464, 2 1 1
31.93, 502, 3 1 0
35.07, 548, 2 2 2
37.99, 288, 3 2 1
43.31, 1000, 3 3 0
56.90, 378, 5 2 1

Cell and atoms:
```
data_Th3Co6Si2
_cell_length_a 8.8628
_cell_length_b 8.8628
_cell_length_c 8.8628
_cell_angle_alpha 90.00
_cell_angle_beta 90.00
_cell_angle_gamma 90.00
_space_group_name_H-M_alt 'I m -3 m'
_space_group_IT_number 229
_space_group_name_Hall '-I 4 2 3'
loop_
_atom_site_label
_atom_site_type_symbol
_atom_site_fract_x
_atom_site_fract_y
_atom_site_fract_z
_atom_site_occupancy
Th1 Th 0.0000 0.0000 0.2855 1
Co1 Co 0.0000 0.3439 0.3439 1
Si1 Si 0.2500 0.2500 0.2500 1
```

=====

[2]
# Ac5ThSi4
Computed PXRD pattern, Cu Kα, 1.54184 Å. Input: a DFT-relaxed cell (PBE, Alexandria).

Largest 6 diffraction maxima, in order of rising 2θ, 2θ from 15° to 90°:
Position (°2θ), I (rel.), index
24.52, 1000, 3 1 0
25.06, 315, 2 0 2
28.39, 333, 6 0 0
28.62, 652, 1 1 -2
40.40, 259, 7 1 -2
41.10, 250, 5 1 2

Cell and atoms:
```
data_Ac5ThSi4
_cell_length_a 19.4683
_cell_length_b 4.4472
_cell_length_c 8.7512
_cell_angle_alpha 90.00
_cell_angle_beta 104.31
_cell_angle_gamma 90.00
_space_group_name_H-M_alt 'C 1 2/m 1'
_space_group_IT_number 12
_space_group_name_Hall '-C 2y'
loop_
_atom_site_label
_atom_site_type_symbol
_atom_site_fract_x
_atom_site_fract_y
_atom_site_fract_z
_atom_site_occupancy
Ac1 Ac 0.0000 0.0000 0.0000 1
Ac2 Ac 0.1629 0.5000 0.8336 1
Ac3 Ac 0.1665 0.5000 0.3443 1
Th1 Th 0.0000 0.0000 0.5000 1
Si1 Si 0.9999 0.5000 0.2595 1
Si2 Si 0.1642 0.0000 0.5922 1
```

=====

[3]
# ZnSbPH
Computed PXRD pattern, Cu Kα, 1.54184 Å. Input: a DFT-relaxed cell (PBE, Alexandria).

Largest 6 diffraction maxima, in order of rising 2θ, 2θ from 15° to 90°:
Position (°2θ), I (rel.), index
25.35, 601, 2 0 -1
26.97, 918, 1 1 0
29.47, 709, 1 1 -1
31.56, 726, 0 0 2
33.06, 1000, 1 1 1
48.91, 686, 0 2 0

Cell and atoms:
```
data_ZnSbPH
_cell_length_a 7.4884
_cell_length_b 3.7238
_cell_length_c 5.9059
_cell_angle_alpha 90.00
_cell_angle_beta 106.25
_cell_angle_gamma 90.00
_space_group_name_H-M_alt 'C 1 m 1'
_space_group_IT_number 8
_space_group_name_Hall 'C -2y'
loop_
_atom_site_label
_atom_site_type_symbol
_atom_site_fract_x
_atom_site_fract_y
_atom_site_fract_z
_atom_site_occupancy
Zn1 Zn 0.0000 0.0000 0.0000 1
Sb1 Sb 0.3323 0.0000 0.5125 1
P1 P 0.2998 0.0000 0.9297 1
H1 H 0.0895 0.0000 0.3503 1
```

=====

[4]
# CeHoHg
Computed PXRD pattern, Cu Kα, 1.54184 Å. Input: a DFT-relaxed cell (PBE, Alexandria).

Largest 6 diffraction maxima, in order of rising 2θ, 2θ from 15° to 90°:
Position (°2θ), I (rel.), index
33.73, 1000, 1 1 0
34.84, 902, 0 1 1
49.28, 342, 2 0 1
60.33, 190, 3 0 0
61.05, 362, 1 2 1
70.18, 243, 1 1 2

Cell and atoms:
```
data_CeHoHg
_cell_length_a 5.3144
_cell_length_b 5.3144
_cell_length_c 3.1071
_cell_angle_alpha 90.00
_cell_angle_beta 90.00
_cell_angle_gamma 120.00
_space_group_name_H-M_alt 'P 3 m 1'
_space_group_IT_number 156
_space_group_name_Hall 'P 3 -2"'
loop_
_atom_site_label
_atom_site_type_symbol
_atom_site_fract_x
_atom_site_fract_y
_atom_site_fract_z
_atom_site_occupancy
Ce1 Ce 0.0000 0.0000 0.0000 1
Ho1 Ho 0.3333 0.6667 0.0033 1
Hg1 Hg 0.6667 0.3333 0.5018 1
```

=====

Question: What is the formula in the third record?
Answer: ZnSbPH